Cs4CaU3O12: theoretical powder X-ray diffraction pattern (Cu Ka), based on a structure optimized by DFT (PBE).

Structure:
```
Cs4CaU3O12
1.0
-4.4448 4.4448 4.4448
4.4448 -4.4448 4.4448
4.4448 4.4448 -4.4448
Cs Ca U O
4 1 3 12
Direct
0.0000 0.0000 0.5000 Cs
0.0000 0.5000 0.0000 Cs
0.5000 0.0000 0.0000 Cs
0.5000 0.5000 0.5000 Cs
0.0000 0.0000 0.0000 Ca
0.0000 0.5000 0.5000 U
0.5000 0.0000 0.5000 U
0.5000 0.5000 0.0000 U
0.0000 0.2789 0.2789 O
0.0000 0.7211 0.7211 O
0.2500 0.5000 0.7500 O
0.2500 0.7500 0.5000 O
0.2789 0.0000 0.2789 O
0.2789 0.2789 0.0000 O
0.5000 0.2500 0.7500 O
0.5000 0.7500 0.2500 O
0.7211 0.0000 0.7211 O
0.7211 0.7211 0.0000 O
0.7500 0.2500 0.5000 O
0.7500 0.5000 0.2500 O
```

Largest 6 diffraction maxima, most intense first, 10° ≤ 2θ ≤ 90°:
2θ = 28.40°, 3.143 Å, rel. 100
2θ = 50.28°, 1.815 Å, rel. 42
2θ = 40.59°, 2.222 Å, rel. 28
2θ = 80.93°, 1.188 Å, rel. 23
2θ = 66.53°, 1.406 Å, rel. 19
2θ = 58.76°, 1.571 Å, rel. 18